No. 1
Calculated powder diffraction line list
Compound: UAlFe
Radiation: CuKα
Structure: a crystal structure in the Materials Project, relaxed with PBE
No peak broadening, texture or thermal motion is included.

Main lines, by intensity (10 to 90 degrees two-theta):
2theta, Rel. int.
41.45, 100.0
35.43, 93.9
20.83, 67.9
37.47, 65.5
40.48, 64.7
19.82, 55.0
37.82, 47.8
34.31, 46.9
28.91, 41.0
10.37, 30.9

Crystal structure
a = 8.529 Å, b = 5.228 Å, c = 8.690 Å
α = 90.00°, β = 90.00°, γ = 90.00°
Space group Amm2 (No. 38)
Asymmetric unit:
U 0.178 0.000 0.000 (multiplicity 4)
U 0.277 0.000 0.693 (multiplicity 4)
Al 0.000 0.000 0.488 (multiplicity 2)
Al 0.500 0.000 0.183 (multiplicity 2)
Al 0.500 0.247 0.433 (multiplicity 4)
Fe 0.000 0.247 0.243 (multiplicity 4)
Fe 0.253 0.000 0.346 (multiplicity 4)

No. 2
Calculated powder diffraction line list
Compound: Rb19O3
Radiation: CuKα
Structure: a crystal structure in the Materials Project, relaxed with PBE
No peak broadening, texture or thermal motion is included.

Main lines, by intensity (10 to 90 degrees two-theta):
2theta, Rel. int.
23.07, 100.0
22.74, 63.4
35.35, 43.6
32.85, 35.3
13.26, 30.3
50.52, 24.8
31.90, 23.5
30.92, 21.3
29.66, 19.3
44.84, 18.8

Crystal structure
a = 23.134 Å, b = 23.134 Å, c = 23.134 Å
α = 90.00°, β = 90.00°, γ = 90.00°
Space group Fm-3c (No. 226)
Asymmetric unit:
Rb 0.000 0.000 0.000 (multiplicity 8)
Rb 0.000 0.138 0.189 (multiplicity 96)
Rb 0.114 0.250 0.250 (multiplicity 48)
O 0.000 0.250 0.250 (multiplicity 24)

No. 3
Calculated powder diffraction line list
Compound: Tm2Fe17C3
Radiation: CuKα
Structure: a crystal structure in the Materials Project, relaxed with PBE
No peak broadening, texture or thermal motion is included.

Main lines, by intensity (10 to 90 degrees two-theta):
2theta, Rel. int.
42.44, 100.0
42.09, 74.5
29.89, 46.6
36.24, 41.1
43.47, 34.2
37.61, 30.5
61.31, 22.1
43.31, 21.3
62.11, 20.1
76.92, 16.4

Crystal structure
a = 8.5876 Å, b = 8.5876 Å, c = 12.4908 Å
α = 90.00°, β = 90.00°, γ = 120.00°
Space group R-3m (No. 166, hexagonal axes)
Asymmetric unit:
Tm 0.0000 0.0000 0.1579 (multiplicity 6)
Fe 0.0000 0.0000 0.4039 (multiplicity 6)
Fe 0.0000 0.2838 0.5000 (multiplicity 18)
Fe 0.0000 0.5000 0.0000 (multiplicity 9)
Fe 0.0065 0.5033 0.3472 (multiplicity 18)
C 0.0000 0.5000 0.5000 (multiplicity 9)

No. 4
Calculated powder diffraction line list
Compound: K3Rh
Radiation: CuKα
Structure: a crystal structure in the Materials Project, relaxed with PBE
No peak broadening, texture or thermal motion is included.

Main lines, by intensity (10 to 90 degrees two-theta):
2theta, Rel. int.
28.25, 100.0
14.92, 67.3
14.79, 59.6
18.72, 54.6
37.52, 42.6
29.48, 42.6
34.76, 28.3
17.75, 27.1
44.79, 25.9
37.99, 23.8

Crystal structure
a = 12.510 Å, b = 5.162 Å, c = 6.201 Å
α = 90.00°, β = 106.71°, γ = 90.00°
Space group C2/m (No. 12)
Asymmetric unit:
K 0.000 0.000 0.000 (multiplicity 2)
K 0.157 0.500 0.626 (multiplicity 4)
Rh 0.000 0.000 0.500 (multiplicity 2)

No. 5
Calculated powder diffraction line list
Compound: Li2B2C
Radiation: CuKα
Structure: a crystal structure in the Materials Project, relaxed with PBE
No peak broadening, texture or thermal motion is included.

Main lines, by intensity (10 to 90 degrees two-theta):
2theta, Rel. int.
27.15, 100.0
21.40, 71.2
45.81, 44.1
43.59, 31.6
60.63, 25.2
56.00, 17.3
16.52, 17.1
46.92, 16.2
81.63, 13.0
65.97, 11.7

Crystal structure
a = 4.152 Å, b = 4.152 Å, c = 5.367 Å
α = 90.00°, β = 90.00°, γ = 90.00°
Space group P-4m2 (No. 115)
Asymmetric unit:
Li 0.000 0.000 0.000 (multiplicity 1)
Li 0.000 0.500 0.246 (multiplicity 2)
Li 0.500 0.500 0.000 (multiplicity 1)
B 0.285 0.500 0.614 (multiplicity 4)
C 0.000 0.500 0.797 (multiplicity 2)

No. 6
Calculated powder diffraction line list
Compound: Lu2MgOs
Radiation: CuKα
Structure: a crystal structure in the Materials Project, relaxed with PBE
No peak broadening, texture or thermal motion is included.

Main lines, by intensity (10 to 90 degrees two-theta):
2theta, Rel. int.
36.65, 100.0
66.00, 36.3
22.20, 19.4
52.81, 17.7
89.36, 16.8
77.94, 11.4
43.27, 10.5
25.69, 7.2
57.97, 4.5
82.25, 3.5

Crystal structure
a = 6.934 Å, b = 6.934 Å, c = 6.934 Å
α = 90.00°, β = 90.00°, γ = 90.00°
Space group Fm-3m (No. 225)
Asymmetric unit:
Lu 0.250 0.250 0.250 (multiplicity 8)
Mg 0.000 0.000 0.000 (multiplicity 4)
Os 0.000 0.000 0.500 (multiplicity 4)

- Which formula does entry 2 have?
  Rb19O3

Copy entry 1 word for word.
Calculated powder diffraction line list
Compound: UAlFe
Radiation: CuKα
Structure: a crystal structure in the Materials Project, relaxed with PBE
No peak broadening, texture or thermal motion is included.

Main lines, by intensity (10 to 90 degrees two-theta):
2theta, Rel. int.
41.45, 100.0
35.43, 93.9
20.83, 67.9
37.47, 65.5
40.48, 64.7
19.82, 55.0
37.82, 47.8
34.31, 46.9
28.91, 41.0
10.37, 30.9

Crystal structure
a = 8.529 Å, b = 5.228 Å, c = 8.690 Å
α = 90.00°, β = 90.00°, γ = 90.00°
Space group Amm2 (No. 38)
Asymmetric unit:
U 0.178 0.000 0.000 (multiplicity 4)
U 0.277 0.000 0.693 (multiplicity 4)
Al 0.000 0.000 0.488 (multiplicity 2)
Al 0.500 0.000 0.183 (multiplicity 2)
Al 0.500 0.247 0.433 (multiplicity 4)
Fe 0.000 0.247 0.243 (multiplicity 4)
Fe 0.253 0.000 0.346 (multiplicity 4)